Entry 1:
Starting from a PBE-relaxed structure, the powder X-ray diffraction pattern of Tb2Y3Tc2 was simulated for Cu Kα.
No peak broadening, texture or thermal motion is included.

Crystal structure
Unit cell a=12.2289 b=3.8501 c=8.4720 alpha=90.00 beta=112.83 gamma=90.00
Space group C2/m (No. 12)
Unique sites:
1 Tb 0.1635 0.0000 0.3169 (multiplicity 4)
2 Y 0.0000 0.5000 0.5000 (multiplicity 2)
3 Y 0.1251 0.5000 0.9325 (multiplicity 4)
4 Tc 0.1783 0.0000 0.7135 (multiplicity 4)

Top 10 peaks for 10 to 90 degrees two-theta, sorted by position:
hkl	two_theta	intensity
2 0 0	15.7	38
1 1 -2	31.4	65
2 0 -3	31.8	63
3 1 -1	32.1	100
2 0 2	32.6	65
3 1 0	33.3	83
3 1 -2	34.9	64
1 1 -3	40.0	44
0 2 0	47.2	43
7 1 -2	58.0	41

=====

Entry 2:
Starting from a PBE-relaxed structure, the powder X-ray diffraction pattern of AsBrF was simulated for Cu Kα.
No peak broadening, texture or thermal motion is included.

Crystal structure
Unit cell a=4.6527 b=6.0918 c=6.9450 alpha=88.05 beta=86.27 gamma=74.41
Space group P-1 (No. 2)
Unique sites:
1 As 0.0090 0.4171 0.1719 (multiplicity 2)
2 Br 0.1458 0.2127 0.6949 (multiplicity 2)
3 F 0.4095 0.3752 0.1751 (multiplicity 2)

Top 10 peaks for 10 to 90 degrees two-theta, sorted by position:
hkl	two_theta	intensity
0 1 0	15.1	62
1 0 0	19.8	100
0 1 -1	20.0	44
1 1 0	21.5	93
0 0 2	25.7	62
0 1 -2	30.2	46
1 0 2	31.7	41
0 2 1	33.0	55
1 1 -2	34.9	36
2 1 0	39.1	31

=====

Entry 3:
Starting from a PBE-relaxed structure, the powder X-ray diffraction pattern of Zr3Co2Rh2 was simulated for Cu Kα.
No peak broadening, texture or thermal motion is included.

Crystal structure
Unit cell a=4.0336 b=4.8519 c=6.5617 alpha=92.65 beta=90.03 gamma=114.53
Space group P-1 (No. 2)
Unique sites:
1 Zr 0.0000 0.0000 0.0000 (multiplicity 1)
2 Zr 0.3534 0.7068 0.3426 (multiplicity 2)
3 Co 0.0712 0.1407 0.3689 (multiplicity 2)
4 Rh 0.3106 0.6214 0.8564 (multiplicity 2)

Top 10 peaks for 10 to 90 degrees two-theta, sorted by position:
hkl	two_theta	intensity
0 1 -2	33.2	31
1 0 -2	36.4	21
1 0 2	37.2	100
1 -2 0	37.9	81
1 1 -1	39.8	29
2 -1 0	44.9	39
0 1 -3	45.4	11
0 2 2	51.1	23
2 -2 2	57.0	15
2 1 2	70.4	17

=====

Entry 4:
Starting from a PBE-relaxed structure, the powder X-ray diffraction pattern of Tm6HgBi3 was simulated for Cu Kα.
No peak broadening, texture or thermal motion is included.

Crystal structure
Unit cell a=11.7743 b=11.5682 c=8.3561 alpha=90.00 beta=90.00 gamma=90.00
Space group Cmcm (No. 63)
Unique sites:
1 Tm 0.0000 0.1623 0.0063 (multiplicity 8)
2 Tm 0.1548 0.5000 0.0000 (multiplicity 8)
3 Tm 0.2449 0.2537 0.2500 (multiplicity 8)
4 Hg 0.0000 0.3523 0.2500 (multiplicity 4)
5 Bi 0.0000 0.3568 0.7500 (multiplicity 4)
6 Bi 0.1470 0.0003 0.2500 (multiplicity 8)

Top 10 peaks for 10 to 90 degrees two-theta, sorted by position:
hkl	two_theta	intensity
4 0 0	30.4	19
3 1 2	32.2	100
1 3 2	32.5	100
4 2 0	34.2	47
2 4 0	34.6	41
0 0 4	43.3	29
4 2 4	56.3	23
2 4 4	56.5	20
7 3 2	64.4	21
3 7 2	65.2	24

=====

Entry 5:
Starting from a PBE-relaxed structure, the powder X-ray diffraction pattern of Np2Zn15In2 was simulated for Cu Kα.
No peak broadening, texture or thermal motion is included.

Crystal structure
Unit cell a=9.2320 b=9.2320 c=13.2834 alpha=90.00 beta=90.00 gamma=120.00
Space group R-3m (No. 166, hexagonal axes)
Unique sites:
1 Np 0.0000 0.0000 0.1572 (multiplicity 6)
2 Zn 0.0000 0.3114 0.5000 (multiplicity 18)
3 Zn 0.0000 0.5000 0.0000 (multiplicity 9)
4 Zn 0.0168 0.5084 0.6551 (multiplicity 18)
5 In 0.0000 0.0000 0.3943 (multiplicity 6)

Top 10 peaks for 10 to 90 degrees two-theta, sorted by position:
hkl	two_theta	intensity
1 1 0	19.2	23
1 1 3	27.9	33
3 0 0	33.6	63
0 2 4	35.1	33
2 2 0	39.0	68
0 3 3	39.5	100
2 1 4	40.4	31
0 0 6	40.8	41
6 0 0	70.7	24
0 3 9	73.3	24

=====

Entry 6:
Starting from a PBE-relaxed structure, the powder X-ray diffraction pattern of Nb2Cd2Cu was simulated for Cu Kα.
No peak broadening, texture or thermal motion is included.

Crystal structure
Unit cell a=6.6662 b=6.6662 c=4.3009 alpha=90.00 beta=90.00 gamma=90.00
Space group P4/mbm (No. 127)
Unique sites:
1 Nb 0.1526 0.3474 0.0000 (multiplicity 4)
2 Cd 0.1481 0.6481 0.5000 (multiplicity 4)
3 Cu 0.0000 0.0000 0.5000 (multiplicity 2)

Top 10 peaks for 10 to 90 degrees two-theta, sorted by position:
hkl	two_theta	intensity
1 1 0	18.8	8
0 0 1	20.7	6
2 1 1	36.7	100
0 0 2	42.0	19
3 1 0	42.9	28
3 3 0	58.8	6
4 1 1	61.2	8
3 1 2	61.6	18
2 1 3	73.3	12
5 2 1	80.8	14

=====

Entry 7:
Starting from a PBE-relaxed structure, the powder X-ray diffraction pattern of PuTh4Pb3 was simulated for Cu Kα.
No peak broadening, texture or thermal motion is included.

Crystal structure
Unit cell a=5.0220 b=5.0220 c=18.9473 alpha=90.00 beta=90.00 gamma=90.00
Space group I4/mmm (No. 139)
Unique sites:
1 Pu 0.0000 0.0000 0.0000 (multiplicity 2)
2 Th 0.0000 0.5000 0.1225 (multiplicity 8)
3 Pb 0.0000 0.0000 0.2482 (multiplicity 4)
4 Pb 0.0000 0.0000 0.5000 (multiplicity 2)

Top 10 peaks for 10 to 90 degrees two-theta, sorted by position:
hkl	two_theta	intensity
1 1 4	31.5	100
2 0 0	35.8	36
0 0 8	38.0	15
2 2 0	51.5	13
2 0 8	53.2	24
3 1 4	61.6	31
1 1 12	64.6	13
2 2 8	65.7	13
3 3 4	84.3	7
3 1 12	87.0	12

=====

Entry 8:
Starting from a PBE-relaxed structure, the powder X-ray diffraction pattern of Dy4ZnCo2 was simulated for Cu Kα.
No peak broadening, texture or thermal motion is included.

Crystal structure
Unit cell a=6.7811 b=7.0764 c=7.3205 alpha=106.38 beta=100.39 gamma=98.42
Space group P1 (No. 1)
Unique sites:
1 Dy 0.0000 0.0000 0.0000 (multiplicity 1)
2 Dy 0.0048 0.3529 0.4942 (multiplicity 1)
3 Dy 0.0546 0.8479 0.4423 (multiplicity 1)
4 Dy 0.1033 0.5037 0.0145 (multiplicity 1)
5 Dy 0.4432 0.8717 0.8098 (multiplicity 1)
6 Dy 0.5117 0.3374 0.1806 (multiplicity 1)
7 Dy 0.5223 0.3284 0.6880 (multiplicity 1)
8 Dy 0.5358 0.8863 0.3450 (multiplicity 1)
9 Zn 0.7196 0.6670 0.0423 (multiplicity 1)
10 Zn 0.7371 0.6835 0.6154 (multiplicity 1)
11 Co 0.1891 0.1780 0.7848 (multiplicity 1)
12 Co 0.2699 0.1380 0.3397 (multiplicity 1)
13 Co 0.3360 0.5689 0.4377 (multiplicity 1)
14 Co 0.8214 0.0773 0.6850 (multiplicity 1)

Top 10 peaks for 10 to 90 degrees two-theta, sorted by position:
hkl	two_theta	intensity
1 0 -2	26.5	31
2 0 0	27.3	59
1 2 -1	30.5	32
1 0 2	32.3	83
-1 2 1	32.7	38
0 1 2	33.1	42
1 2 -2	33.8	46
2 -2 0	34.3	100
2 1 -2	35.0	32
2 2 0	42.7	37

=====

Entry 9:
Starting from a PBE-relaxed structure, the powder X-ray diffraction pattern of Ba3La2Cl12 was simulated for Cu Kα.
No peak broadening, texture or thermal motion is included.

Crystal structure
Unit cell a=11.7417 b=11.7417 c=7.1649 alpha=90.00 beta=90.00 gamma=90.00
Space group P4/mbm (No. 127)
Unique sites:
1 Ba 0.0000 0.0000 0.0000 (multiplicity 2)
2 Ba 0.1810 0.3190 0.5000 (multiplicity 4)
3 La 0.1361 0.6361 0.0000 (multiplicity 4)
4 Cl 0.0000 0.5000 0.2574 (multiplicity 4)
5 Cl 0.0632 0.7929 0.2703 (multiplicity 16)
6 Cl 0.1874 0.3126 0.0000 (multiplicity 4)

Top 10 peaks for 10 to 90 degrees two-theta, sorted by position:
hkl	two_theta	intensity
2 0 1	19.5	24
2 1 1	21.0	100
3 1 0	24.0	22
3 1 1	27.0	24
4 1 0	31.4	32
3 3 0	32.3	21
2 2 2	33.0	23
3 1 2	34.8	85
3 2 2	37.3	26
2 1 3	41.5	21

=====

Entry 10:
Starting from a PBE-relaxed structure, the powder X-ray diffraction pattern of LaP3H8O7 was simulated for Cu Kα.
No peak broadening, texture or thermal motion is included.

Crystal structure
Unit cell a=7.2628 b=8.1036 c=9.0734 alpha=110.05 beta=97.47 gamma=104.98
Space group P-1 (No. 2)
Unique sites:
1 La 0.1522 0.3129 0.3660 (multiplicity 2)
2 P 0.0327 0.1925 0.9136 (multiplicity 2)
3 P 0.3492 0.6790 0.7677 (multiplicity 2)
4 P 0.4719 0.7213 0.3132 (multiplicity 2)
5 H 0.0346 0.3431 0.8670 (multiplicity 2)
6 H 0.1731 0.9925 0.5498 (multiplicity 2)
7 H 0.1872 0.7875 0.4758 (multiplicity 2)
8 H 0.2273 0.1849 0.9195 (multiplicity 2)
9 H 0.3419 0.6320 0.9043 (multiplicity 2)
10 H 0.3636 0.8690 0.8278 (multiplicity 2)
11 H 0.4544 0.8822 0.2913 (multiplicity 2)
12 H 0.4672 0.6002 0.1555 (multiplicity 2)
13 O 0.0014 0.2445 0.0844 (multiplicity 2)
14 O 0.1106 0.9839 0.2194 (multiplicity 2)
15 O 0.1266 0.8671 0.5509 (multiplicity 2)
16 O 0.1550 0.5649 0.6404 (multiplicity 2)
17 O 0.2883 0.6371 0.3619 (multiplicity 2)
18 O 0.3271 0.2261 0.5757 (multiplicity 2)
19 O 0.4662 0.3434 0.2867 (multiplicity 2)

Top 10 peaks for 10 to 90 degrees two-theta, sorted by position:
hkl	two_theta	intensity
0 0 1	10.7	92
0 1 -1	12.7	100
1 0 0	13.0	32
1 -1 0	14.7	41
1 1 -1	19.2	52
0 2 0	24.7	72
2 -1 0	25.0	31
2 0 -1	25.8	33
-1 1 2	27.5	43
1 0 2	27.8	30

=====

Entry 11:
Starting from a PBE-relaxed structure, the powder X-ray diffraction pattern of Ce8H was simulated for Cu Kα.
No peak broadening, texture or thermal motion is included.

Crystal structure
Unit cell a=6.5438 b=6.5438 c=5.7745 alpha=90.00 beta=90.00 gamma=120.00
Space group P-3m1 (No. 164)
Unique sites:
1 Ce 0.1731 0.3463 0.2426 (multiplicity 6)
2 Ce 0.3333 0.6667 0.7372 (multiplicity 2)
3 H 0.0000 0.0000 0.5000 (multiplicity 1)

Top 10 peaks for 10 to 90 degrees two-theta, sorted by position:
hkl	two_theta	intensity
0 0 2	31.0	31
2 0 0	31.6	22
2 0 1	35.3	100
0 2 2	44.8	17
2 2 0	56.2	17
2 0 3	57.9	23
2 2 2	65.6	21
0 4 1	68.1	14
0 2 4	73.6	4
0 4 3	85.0	8

=====

Entry 12:
Starting from a PBE-relaxed structure, the powder X-ray diffraction pattern of Ca2PmSm5 was simulated for Cu Kα.
No peak broadening, texture or thermal motion is included.

Crystal structure
Unit cell a=5.1955 b=5.1955 c=21.0699 alpha=90.00 beta=90.00 gamma=90.00
Space group I4/mmm (No. 139)
Unique sites:
1 Ca 0.0000 0.0000 0.2500 (multiplicity 4)
2 Pm 0.0000 0.0000 0.0000 (multiplicity 2)
3 Sm 0.0000 0.0000 0.5000 (multiplicity 2)
4 Sm 0.0000 0.5000 0.1174 (multiplicity 8)

Top 10 peaks for 10 to 90 degrees two-theta, sorted by position:
hkl	two_theta	intensity
1 1 4	29.6	100
0 0 8	34.0	16
2 0 0	34.5	34
1 1 6	35.4	10
2 0 8	49.3	23
2 2 0	49.6	12
1 1 12	58.2	12
3 1 4	58.9	28
2 2 8	61.6	12
3 1 12	80.0	10